[1]
Theoretical PXRD pattern
Compound: Mg14CoMo
Radiation: Cu Kα X-rays
Structure: a structure optimized by DFT (GGA-PBE)

Main lines, sorted by position (10° ≤ 2θ ≤ 90°):
2θ (°)	d [Å]	I (rel.)
16.52	5.366	29
24.59	3.621	15
33.40	2.683	27
36.63	2.453	25
38.23	2.354	100
50.40	1.810	16
59.69	1.549	16
67.02	1.396	18
72.11	1.310	18
73.13	1.294	13

Cell and atoms:
```
Mg14CoMo
1.0
6.196 0.000 0.000
-3.098 5.366 0.000
0.000 0.000 9.813
Mg Co Mo
14 1 1
direct
0.000 0.000 0.248
0.000 0.000 0.752
0.020 0.510 0.253
0.020 0.510 0.747
0.333 0.166 0.500
0.337 0.169 0.000
0.490 0.510 0.253
0.490 0.510 0.747
0.490 0.980 0.253
0.490 0.980 0.747
0.831 0.169 0.000
0.831 0.663 0.000
0.834 0.166 0.500
0.834 0.667 0.500
0.333 0.667 0.500
0.333 0.667 0.000
```

***

[2]
Theoretical PXRD pattern
Compound: MgCo4Mo
Radiation: Cu Kα X-rays
Structure: a structure optimized by DFT (GGA-PBE)

Main lines, sorted by position (10° ≤ 2θ ≤ 90°):
2θ (°)	d [Å]	I (rel.)
23.18	3.837	17
26.83	3.323	12
38.31	2.349	27
45.26	2.004	100
47.39	1.918	41
55.30	1.661	4
62.50	1.486	4
69.27	1.356	9
74.14	1.279	28
82.03	1.175	23

Cell and atoms:
```
MgCo4Mo
1.0
0.000 3.323 3.323
3.323 0.000 3.323
3.323 3.323 0.000
Mg Co Mo
1 4 1
direct
0.000 0.000 0.000
0.123 0.626 0.626
0.626 0.123 0.626
0.626 0.626 0.123
0.626 0.626 0.626
0.250 0.250 0.250
```

***

[3]
Theoretical PXRD pattern
Compound: Mg2CoMo3S8
Radiation: Cu Kα X-rays
Structure: a structure optimized by DFT (GGA-PBE)

Main lines, sorted by position (10° ≤ 2θ ≤ 90°):
2θ (°)	d [Å]	I (rel.)
14.79	5.992	72
15.01	5.903	37
28.49	3.133	39
28.61	3.120	36
28.85	3.095	19
34.71	2.585	100
45.57	1.990	23
49.60	1.838	44
50.20	1.817	45
61.95	1.498	15

Cell and atoms:
```
Mg2CoMo3S8
1.0
3.676 2.122 5.903
-3.676 2.122 5.903
0.000 -4.245 5.903
Mg Co Mo S
2 1 3 8
direct
0.122 0.122 0.122
0.878 0.878 0.878
0.500 0.500 0.500
0.000 0.500 0.500
0.500 0.000 0.500
0.500 0.500 0.000
0.259 0.259 0.259
0.271 0.271 0.710
0.271 0.710 0.271
0.290 0.729 0.729
0.710 0.271 0.271
0.729 0.290 0.729
0.729 0.729 0.290
0.741 0.741 0.741
```